Calculated powder diffractogram
Compound: CsSiPPt4
Radiation: CuKα
Structure: a PBE-relaxed structure

Structural model:
```
CsSiPPt4
1.0
7.649 -3.471 0.000
7.649 3.471 0.000
-0.127 0.000 6.465
Cs Si P Pt
2 2 2 8
direct
0.099 0.099 0.182 Cs
0.901 0.901 0.818 Cs
0.263 0.263 0.647 Si
0.737 0.737 0.353 Si
0.430 0.430 0.252 P
0.570 0.570 0.748 P
0.109 0.512 0.353 Pt
0.335 0.335 0.975 Pt
0.431 0.431 0.630 Pt
0.488 0.891 0.647 Pt
0.512 0.109 0.353 Pt
0.569 0.569 0.370 Pt
0.665 0.665 0.025 Pt
0.891 0.488 0.647 Pt
```

Top 6 peaks for 2θ from 15° to 90°, in order of rising 2θ:
two_theta	I_rel
27.33	56.7
31.61	100.0
35.05	38.4
41.91	30.1
46.15	26.9
53.20	28.5

---

Calculated powder diffractogram
Compound: CsSnP2Pt4
Radiation: CuKα
Structure: a PBE-relaxed structure

Structural model:
```
CsSnP2Pt4
1.0
4.007 0.000 0.000
0.000 4.007 0.000
0.000 0.000 11.160
Cs Sn P Pt
1 1 2 4
direct
0.000 0.000 0.000 Cs
0.000 0.000 0.500 Sn
0.500 0.500 0.208 P
0.500 0.500 0.792 P
0.000 0.500 0.320 Pt
0.000 0.500 0.680 Pt
0.500 0.000 0.320 Pt
0.500 0.000 0.680 Pt
```

Top 6 peaks for 2θ from 15° to 90°, in order of rising 2θ:
two_theta	I_rel
23.92	72.8
27.40	39.7
35.54	100.0
40.00	93.8
45.26	63.2
51.83	37.0